La3MgOs: calculated powder diffraction line list (Cu Ka), based on a cell relaxed with GGA-PBE.
Peak positions follow from Bragg's law for the DFT cell and can differ from measured ones.

The 12 most intense peaks (2θ = 10–90°), most intense first:
| d [Å] | Rel. int. | hkl |
| --- | --- | --- |
| 3.217 | 100 | 1 1 1 |
| 5.161 | 94 | 0 1 -1 |
| 2.673 | 86 | 1 0 2 |
| 6.244 | 85 | 1 0 0 |
| 3.002 | 84 | -2 1 1 |
| 2.785 | 84 | 1 2 0 |
| 2.581 | 59 | 0 2 -2 |
| 2.326 | 53 | -1 2 2 |
| 2.134 | 33 | -1 1 3 |
| 2.107 | 31 | -1 3 1 |
| 2.030 | 27 | 3 0 -2 |
| 2.850 | 26 | 0 1 2 |

Structure:
Lattice parameters (Å, degrees): 6.546 6.925 7.009 95.96 104.42 98.09
Fractional positions:
La1 0.000 0.000 0.000
La2 0.011 0.545 0.419
La3 0.140 0.071 0.521
La4 0.489 0.760 0.193
La5 0.545 0.241 0.037
La6 0.579 0.649 0.673
Mg1 0.062 0.477 0.917
Mg2 0.658 0.181 0.551
Os1 0.274 0.832 0.814
Os2 0.321 0.361 0.297